# 1
This entry pairs a crystal structure of La2Co3 with its calculated powder XRD pattern. Radiation: λ = 1.5418 Å (Cu Kα). Structure: a cell relaxed with PBE.
Lines closer than 0.1° are merged.

The 6 most intense peaks (2θ = 10–90°), by angle:
30.38 deg, intensity 28; 32.61 deg, intensity 100; 37.98 deg, intensity 33; 45.88 deg, intensity 52; 57.42 deg, intensity 19; 68.19 deg, intensity 21

Structure:
Cell: 3.9559 3.9559 22.9602 Å, 90.00 90.00 120.00°
Positions (direct):
La1 0.0000 0.0000 0.0932
La2 0.0000 0.0000 0.9068
La3 0.3333 0.6667 0.5735
La4 0.3333 0.6667 0.7599
La5 0.6667 0.3333 0.2401
La6 0.6667 0.3333 0.4265
Co1 0.0000 0.0000 0.3327
Co2 0.0000 0.0000 0.5000
Co3 0.0000 0.0000 0.6673
Co4 0.3333 0.6667 0.1667
Co5 0.3333 0.6667 0.3340
Co6 0.3333 0.6667 0.9994
Co7 0.6667 0.3333 0.0006
Co8 0.6667 0.3333 0.6660
Co9 0.6667 0.3333 0.8333

=====

# 2
This entry pairs a crystal structure of LiLa3Co with its calculated powder XRD pattern. Radiation: λ = 1.5418 Å (Cu Kα). Structure: a cell relaxed with PBE.
Lines closer than 0.1° are merged.

The 6 most intense peaks (2θ = 10–90°), by angle:
10.29 deg, intensity 45; 27.02 deg, intensity 40; 29.07 deg, intensity 46; 29.51 deg, intensity 100; 31.61 deg, intensity 44; 31.82 deg, intensity 55

Structure:
Cell: 6.7402 6.7402 9.2981 Å, 110.30 110.30 49.32°
Positions (direct):
Li1 0.0905 0.0905 0.4473
Li2 0.9095 0.9095 0.5527
La1 0.1284 0.1284 0.9275
La2 0.3462 0.3462 0.3389
La3 0.3939 0.3939 0.7659
La4 0.6061 0.6061 0.2341
La5 0.6538 0.6538 0.6611
La6 0.8716 0.8716 0.0725
Co1 0.3773 0.3773 0.0645
Co2 0.6227 0.6227 0.9355